Entry 1:
The following is a simulated PXRD pattern of MgZrH2. It was derived from a GGA-PBE-relaxed structure, using CuKα.
Kinematic intensities with the Lorentz-polarization factor, no thermal factor.

Atomic structure:
a b c (Å): 4.344 4.340 10.708
angles (deg): 90.00 113.89 90.00
Space group P2/c (No. 13)
Symmetry-distinct sites (fractional):
Mg 0.126 0.249 0.125 x4
Zr 0.375 0.250 0.875 x4
H 0.161 0.253 0.662 x4
H 0.407 0.250 0.412 x4

Peak list (10 most intense, 10 to 80 degrees two-theta, in order of falling intensity)
| Position (°2θ) | d (Å) | I (rel.) |
| --- | --- | --- |
| 34.48 | 2.601 | 100 |
| 22.40 | 3.969 | 53 |
| 41.60 | 2.171 | 32 |
| 56.67 | 1.624 | 24 |
| 36.72 | 2.448 | 23 |
| 71.36 | 1.322 | 17 |
| 34.38 | 2.609 | 16 |
| 64.69 | 1.441 | 16 |
| 47.75 | 1.905 | 13 |
| 72.71 | 1.300 | 11 |

Entry 2:
The following is a simulated PXRD pattern of Ba4TeS3. It was derived from a GGA-PBE-relaxed structure, using CuKα.
Kinematic intensities with the Lorentz-polarization factor, no thermal factor.

Atomic structure:
a b c (Å): 9.383 13.252 4.670
angles (deg): 90.00 90.00 90.00
Space group Cmmm (No. 65)
Symmetry-distinct sites (fractional):
Ba 0.000 0.243 0.000 x4
Ba 0.235 0.000 0.500 x4
Te 0.000 0.500 0.000 x2
S 0.000 0.000 0.000 x2
S 0.250 0.250 0.500 x4

Peak list (10 most intense, 10 to 80 degrees two-theta, in order of falling intensity)
| Position (°2θ) | d (Å) | I (rel.) |
| --- | --- | --- |
| 26.93 | 3.311 | 100 |
| 38.43 | 2.342 | 62 |
| 23.27 | 3.823 | 29 |
| 62.70 | 1.482 | 16 |
| 47.65 | 1.909 | 13 |
| 47.49 | 1.914 | 13 |
| 69.65 | 1.350 | 13 |
| 38.56 | 2.335 | 13 |
| 55.51 | 1.655 | 12 |
| 69.45 | 1.353 | 12 |

Entry 3:
The following is a simulated PXRD pattern of Ca9N2Cl14. It was derived from a GGA-PBE-relaxed structure, using CuKα.
Kinematic intensities with the Lorentz-polarization factor, no thermal factor.

Atomic structure:
a b c (Å): 8.0226 8.0226 11.1661
angles (deg): 90.00 90.00 120.00
Space group P-3 (No. 147)
Symmetry-distinct sites (fractional):
Ca 0.0000 0.0000 0.0000 x1
Ca 0.0793 0.3734 0.3393 x6
Ca 0.3333 0.6667 0.0524 x2
N 0.3333 0.6667 0.2650 x2
Cl 0.0000 0.0000 0.2569 x2
Cl 0.0406 0.6758 0.9035 x6
Cl 0.0790 0.3917 0.5970 x6

Peak list (10 most intense, 10 to 80 degrees two-theta, in order of falling intensity)
| Position (°2θ) | d (Å) | I (rel.) |
| --- | --- | --- |
| 39.32 | 2.291 | 100 |
| 23.57 | 3.775 | 86 |
| 38.89 | 2.316 | 82 |
| 35.11 | 2.556 | 61 |
| 23.91 | 3.722 | 35 |
| 34.14 | 2.626 | 34 |
| 42.11 | 2.146 | 29 |
| 27.38 | 3.258 | 26 |
| 34.63 | 2.590 | 20 |
| 56.50 | 1.629 | 15 |

Entry 4:
The following is a simulated PXRD pattern of Sr3Er3MgTe8. It was derived from a GGA-PBE-relaxed structure, using CuKα.
Kinematic intensities with the Lorentz-polarization factor, no thermal factor.

Atomic structure:
a b c (Å): 8.8557 8.8557 22.7683
angles (deg): 90.00 90.00 120.00
Space group R-3m (No. 166, hexagonal axes)
Symmetry-distinct sites (fractional):
Sr 0.0000 0.5000 0.0000 x9
Er 0.0000 0.5000 0.5000 x9
Mg 0.0000 0.0000 0.5000 x3
Te 0.0000 0.0000 0.2427 x6
Te 0.0012 0.5006 0.2410 x18

Peak list (10 most intense, 10 to 80 degrees two-theta, in order of falling intensity)
| Position (°2θ) | d (Å) | I (rel.) |
| --- | --- | --- |
| 28.06 | 3.180 | 100 |
| 40.76 | 2.214 | 37 |
| 39.43 | 2.285 | 37 |
| 50.21 | 1.817 | 20 |
| 66.58 | 1.405 | 17 |
| 64.70 | 1.441 | 15 |
| 11.66 | 7.589 | 14 |
| 58.00 | 1.590 | 12 |
| 73.30 | 1.292 | 12 |
| 13.92 | 6.361 | 9 |

Entry 5:
The following is a simulated PXRD pattern of PuMgRh. It was derived from a GGA-PBE-relaxed structure, using CuKα.
Kinematic intensities with the Lorentz-polarization factor, no thermal factor.

Atomic structure:
a b c (Å): 7.708 7.708 4.371
angles (deg): 90.00 90.00 90.00
Space group P4_2/m (No. 84)
Symmetry-distinct sites (fractional):
Pu 0.069 0.731 0.000 x4
Mg 0.342 0.386 0.000 x4
Rh 0.142 0.403 0.500 x4

Peak list (10 most intense, 10 to 80 degrees two-theta, in order of falling intensity)
| Position (°2θ) | d (Å) | I (rel.) |
| --- | --- | --- |
| 30.94 | 2.891 | 100 |
| 33.10 | 2.707 | 65 |
| 36.88 | 2.437 | 58 |
| 26.13 | 3.410 | 57 |
| 11.48 | 7.708 | 43 |
| 56.56 | 1.627 | 34 |
| 41.31 | 2.185 | 34 |
| 42.46 | 2.129 | 34 |
| 53.30 | 1.719 | 33 |
| 38.95 | 2.312 | 32 |

Entry 6:
The following is a simulated PXRD pattern of Al2Cu5Au2. It was derived from a GGA-PBE-relaxed structure, using CuKα.
Kinematic intensities with the Lorentz-polarization factor, no thermal factor.

Atomic structure:
a b c (Å): 8.754 4.253 7.116
angles (deg): 90.00 104.66 90.00
Space group C2/m (No. 12)
Symmetry-distinct sites (fractional):
Al 0.078 0.000 0.272 x4
Cu 0.000 0.500 0.000 x2
Cu 0.180 0.000 0.955 x4
Cu 0.230 0.500 0.380 x4
Au 0.104 0.500 0.691 x4

Peak list (10 most intense, 10 to 80 degrees two-theta, in order of falling intensity)
| Position (°2θ) | d (Å) | I (rel.) |
| --- | --- | --- |
| 43.19 | 2.095 | 100 |
| 41.69 | 2.166 | 80 |
| 23.40 | 3.801 | 69 |
| 43.70 | 2.071 | 64 |
| 42.51 | 2.127 | 54 |
| 39.26 | 2.295 | 42 |
| 21.68 | 4.099 | 36 |
| 27.38 | 3.258 | 35 |
| 25.45 | 3.500 | 34 |
| 44.19 | 2.050 | 27 |

Entry 7:
The following is a simulated PXRD pattern of CaSnF5. It was derived from a GGA-PBE-relaxed structure, using CuKα.
Kinematic intensities with the Lorentz-polarization factor, no thermal factor.

Atomic structure:
a b c (Å): 5.840 10.863 8.215
angles (deg): 90.00 109.76 90.00
Space group P2_1/c (No. 14)
Symmetry-distinct sites (fractional):
Ca 0.024 0.015 0.249 x4
Sn 0.398 0.244 0.603 x4
F 0.111 0.105 0.566 x4
F 0.144 0.100 0.002 x4
F 0.291 0.643 0.345 x4
F 0.332 0.195 0.335 x4
F 0.363 0.596 0.804 x4

Peak list (10 most intense, 10 to 80 degrees two-theta, in order of falling intensity)
| Position (°2θ) | d (Å) | I (rel.) |
| --- | --- | --- |
| 23.02 | 3.863 | 100 |
| 24.44 | 3.642 | 65 |
| 24.65 | 3.611 | 57 |
| 18.09 | 4.904 | 53 |
| 41.23 | 2.190 | 44 |
| 16.32 | 5.432 | 29 |
| 47.00 | 1.933 | 25 |
| 47.34 | 1.920 | 23 |
| 44.10 | 2.053 | 21 |
| 50.54 | 1.806 | 19 |

> Which formula does entry 3 have?

Ca9N2Cl14